# 1
The following is a theoretical powder diffractogram of MgSn2. It was derived from DFT lattice parameters and positions (GGA-PBE), using Cu Kα.
Kinematic intensities with the Lorentz-polarization factor, no thermal factor.

Main lines, in order of falling intensity (2θ from 10° to 90°):
d [Å]  2theta  I (rel.)
2.728  32.8  100
2.560  35.1  84
2.714  33.0  49
4.524  19.6  42
2.220  40.6  29
2.227  40.5  28
3.610  24.7  28
1.640  56.1  24
1.535  60.3  18
2.927  30.5  15

Cell and atoms:
```
MgSn2
1.0
9.6701 0.0000 0.0000
0.0000 5.8053 0.0000
-4.8136 0.0000 5.4277
Mg Sn
4 8
direct
0.0000 0.1236 0.2500 Mg
0.0000 0.8764 0.7500 Mg
0.5000 0.3764 0.7500 Mg
0.5000 0.6236 0.2500 Mg
0.1671 0.3727 0.7482 Sn
0.1671 0.6273 0.2482 Sn
0.3329 0.1273 0.2518 Sn
0.3329 0.8727 0.7518 Sn
0.6671 0.1273 0.2482 Sn
0.6671 0.8727 0.7482 Sn
0.8329 0.3727 0.7518 Sn
0.8329 0.6273 0.2518 Sn
```

---

# 2
The following is a theoretical powder diffractogram of La2CeErN4. It was derived from DFT lattice parameters and positions (GGA-PBE), using Cu Kα.
Kinematic intensities with the Lorentz-polarization factor, no thermal factor.

Main lines, in order of falling intensity (2θ from 10° to 90°):
d [Å]  2theta  I (rel.)
2.947  30.3  100
2.559  35.1  100
1.815  50.3  52
2.975  30.0  52
2.936  30.4  50
2.550  35.2  49
1.538  60.1  46
1.797  50.8  34
1.474  63.1  17
1.806  50.6  17

Cell and atoms:
```
La2CeErN4
1.0
6.2173 0.0000 0.0000
0.0000 3.6111 0.0000
-2.0674 0.0000 5.9505
La Ce Er N
2 1 1 4
direct
0.0000 0.0000 0.0000 La
0.5000 0.5000 0.0000 La
0.0000 0.5000 0.5000 Ce
0.5000 0.0000 0.5000 Er
0.2428 0.0000 0.7263 N
0.2556 0.5000 0.2715 N
0.7444 0.5000 0.7286 N
0.7572 0.0000 0.2737 N
```